For SrPtWO6, DFT lattice parameters and positions (GGA+U) gives the calculated powder X-ray diffraction pattern in this record (Cu Kα (weighted mean of Kα1 and Kα2)).
Intensities are scaled so that the largest is 100.

a b c (Å): 5.3208 5.3208 5.4107
angles (deg): 90.00 90.00 120.00
Positions (direct):
1 Sr 0.0000 0.0000 0.0000
2 Pt 0.3333 0.6667 0.5000
3 W 0.6667 0.3333 0.5000
4 O 0.3790 0.0123 0.2973
5 O 0.3790 0.3668 0.7027
6 O 0.6332 0.0123 0.7027
7 O 0.6332 0.6210 0.2973
8 O 0.9877 0.3668 0.2973
9 O 0.9877 0.6210 0.7027

The 10 most intense peaks (5 to 70 degrees two-theta), most intense first:
2θ/deg, I_rel, index
25.4, 100, 1 0 1
16.4, 59, 0 0 1
48.0, 58, 1 1 2
33.7, 53, 1 1 0
37.7, 36, 1 1 1
42.7, 23, 2 0 1
55.4, 23, 2 1 1
60.3, 16, 3 0 0
33.1, 15, 0 0 2
19.3, 15, 1 0 0